Simulated X-ray powder pattern of Pm4Tm3Ge4 for λ = 1.5418 Å (Cu Kα), from a cell relaxed with PBE.

Peak list (6 most intense, 10° ≤ 2θ ≤ 80°, low angle first)
(1 0 3), 2θ = 29.3°, rel. 48.7; (1 2 1), 2θ = 32.5°, rel. 100.0; (0 3 3), 2θ = 33.7°, rel. 76.9; (1 1 4), 2θ = 33.8°, rel. 72.6; (1 0 5), 2θ = 35.8°, rel. 38.6; (1 3 6), 2θ = 50.5°, rel. 46.6

Structural model:
a b c (Å): 3.5612 8.9348 17.7030
angles (deg): 90.00 90.00 90.00
Space group Immm (No. 71)
Symmetry-distinct sites (fractional):
Pm 0.0000 0.1749 0.1673 (multiplicity 8)
Tm 0.0000 0.0000 0.4083 (multiplicity 4)
Tm 0.0000 0.5000 0.5000 (multiplicity 2)
Ge 0.0000 0.2772 0.0000 (multiplicity 4)
Ge 0.0000 0.5000 0.2205 (multiplicity 4)